The following is a calculated X-ray powder pattern of Ac3GeAu4. It was derived from a cell relaxed with PBE, using Cu Kα.
Lines closer than 0.1° are merged.

Largest 10 diffraction maxima, sorted by position, 2θ from 15° to 90°:
| index | two_theta | d/Å | intensity |
| --- | --- | --- | --- |
| 0 0 4 | 25.32 | 3.518 | 31 |
| 1 1 2 | 26.20 | 3.401 | 72 |
| 1 2 1 | 31.62 | 2.829 | 100 |
| 1 1 4 | 34.39 | 2.608 | 66 |
| 0 2 4 | 35.02 | 2.562 | 34 |
| 1 2 3 | 36.55 | 2.459 | 74 |
| 1 0 5 | 37.58 | 2.393 | 47 |
| 2 0 0 | 39.64 | 2.274 | 50 |
| 0 3 3 | 41.00 | 2.201 | 43 |
| 2 3 3 | 58.34 | 1.582 | 31 |

Atomic structure:
abc: 4.548 7.479 14.072
angles: 90.00 90.00 90.00
Element x y z (fractional)
Ac1 0.000 0.000 0.000
Ac2 0.000 0.500 0.171
Ac3 0.000 0.500 0.829
Ac4 0.500 0.000 0.329
Ac5 0.500 0.000 0.671
Ac6 0.500 0.500 0.500
Ge1 0.000 0.000 0.500
Ge2 0.500 0.500 0.000
Au1 0.000 0.301 0.375
Au2 0.000 0.301 0.625
Au3 0.000 0.699 0.375
Au4 0.000 0.699 0.625
Au5 0.500 0.199 0.125
Au6 0.500 0.199 0.875
Au7 0.500 0.801 0.125
Au8 0.500 0.801 0.875